# 1
This entry pairs a crystal structure of Li3Cd2Ge2Au4 with its simulated X-ray diffraction stick pattern. Radiation: Cu Kα. Structure: a PBE-relaxed structure.

The 10 most intense peaks (2θ = 10–90°), in order of rising 2θ:
- 2θ 22.98, 3.870 Å, rel. 98
- 2θ 27.22, 3.276 Å, rel. 50
- 2θ 29.03, 3.076 Å, rel. 37
- 2θ 31.79, 2.815 Å, rel. 34
- 2θ 37.34, 2.408 Å, rel. 63
- 2θ 40.37, 2.234 Å, rel. 100
- 2θ 43.58, 2.077 Å, rel. 21
- 2θ 50.49, 1.808 Å, rel. 49
- 2θ 56.16, 1.638 Å, rel. 19
- 2θ 73.42, 1.290 Å, rel. 24

Structure:
```
data_Li3Cd2Ge2Au4
_cell_length_a 4.468
_cell_length_b 4.468
_cell_length_c 12.306
_cell_angle_alpha 90.00
_cell_angle_beta 90.00
_cell_angle_gamma 120.00
_space_group_name_H-M_alt 'P 1'
_space_group_IT_number 1
loop_
_space_group_symop_operation_xyz
'x,y,z'
loop_
_atom_site_label
_atom_site_fract_x
_atom_site_fract_y
_atom_site_fract_z
Li1 0.000 0.000 0.000
Li2 0.000 0.000 0.244
Li3 0.000 0.000 0.756
Cd1 0.333 0.667 0.573
Cd2 0.667 0.333 0.427
Ge1 0.333 0.667 0.125
Ge2 0.667 0.333 0.875
Au1 0.333 0.667 0.337
Au2 0.333 0.667 0.881
Au3 0.667 0.333 0.119
Au4 0.667 0.333 0.663
```

# 2
This entry pairs a crystal structure of Na2CdGe2Au5 with its simulated X-ray diffraction stick pattern. Radiation: Cu Kα. Structure: a PBE-relaxed structure.

The 10 most intense peaks (2θ = 10–90°), in order of rising 2θ:
- 2θ 16.66, 5.322 Å, rel. 21
- 2θ 18.64, 4.761 Å, rel. 35
- 2θ 24.34, 3.657 Å, rel. 34
- 2θ 34.19, 2.623 Å, rel. 18
- 2θ 34.75, 2.582 Å, rel. 36
- 2θ 36.27, 2.477 Å, rel. 100
- 2θ 39.22, 2.297 Å, rel. 40
- 2θ 42.88, 2.109 Å, rel. 35
- 2θ 49.87, 1.829 Å, rel. 20
- 2θ 67.25, 1.392 Å, rel. 19

Structure:
```
data_Na2CdGe2Au5
_cell_length_a 10.645
_cell_length_b 10.645
_cell_length_c 3.657
_cell_angle_alpha 90.00
_cell_angle_beta 90.00
_cell_angle_gamma 90.00
_space_group_name_H-M_alt 'P 1'
_space_group_IT_number 1
loop_
_space_group_symop_operation_xyz
'x,y,z'
loop_
_atom_site_label
_atom_site_fract_x
_atom_site_fract_y
_atom_site_fract_z
Na1 0.171 0.329 0.000
Na2 0.329 0.829 0.000
Na3 0.671 0.171 0.000
Na4 0.829 0.671 0.000
Cd1 0.000 0.000 0.000
Cd2 0.500 0.500 0.000
Ge1 0.132 0.632 0.000
Ge2 0.368 0.132 0.000
Ge3 0.632 0.868 0.000
Ge4 0.868 0.368 0.000
Au1 0.000 0.500 0.500
Au2 0.063 0.803 0.500
Au3 0.197 0.063 0.500
Au4 0.303 0.563 0.500
Au5 0.437 0.303 0.500
Au6 0.500 0.000 0.500
Au7 0.563 0.697 0.500
Au8 0.697 0.437 0.500
Au9 0.803 0.937 0.500
Au10 0.937 0.197 0.500
```

# 3
This entry pairs a crystal structure of LaCdHRhAu with its simulated X-ray diffraction stick pattern. Radiation: Cu Kα. Structure: a PBE-relaxed structure.

The 10 most intense peaks (2θ = 10–90°), in order of rising 2θ:
- 2θ 32.32, 2.770 Å, rel. 100
- 2θ 32.45, 2.759 Å, rel. 24
- 2θ 34.55, 2.596 Å, rel. 25
- 2θ 38.08, 2.363 Å, rel. 46
- 2θ 39.35, 2.290 Å, rel. 36
- 2θ 39.91, 2.259 Å, rel. 64
- 2θ 49.76, 1.832 Å, rel. 18
- 2θ 64.33, 1.448 Å, rel. 34
- 2θ 65.21, 1.431 Å, rel. 16
- 2θ 78.07, 1.224 Å, rel. 16

Structure:
```
data_LaCdHRhAu
_cell_length_a 4.580
_cell_length_b 5.814
_cell_length_c 5.814
_cell_angle_alpha 36.74
_cell_angle_beta 90.00
_cell_angle_gamma 90.00
_space_group_name_H-M_alt 'P 1'
_space_group_IT_number 1
loop_
_space_group_symop_operation_xyz
'x,y,z'
loop_
_atom_site_label
_atom_site_fract_x
_atom_site_fract_y
_atom_site_fract_z
La1 0.000 0.000 0.000
Cd1 0.500 0.699 0.699
H1 0.500 0.938 0.938
Rh1 0.500 0.431 0.431
Au1 0.000 0.270 0.270
```

# 4
This entry pairs a crystal structure of LaCdHRhAu with its simulated X-ray diffraction stick pattern. Radiation: Cu Kα. Structure: a PBE-relaxed structure.

The 10 most intense peaks (2θ = 10–90°), in order of rising 2θ:
- 2θ 31.82, 2.812 Å, rel. 100
- 2θ 34.80, 2.578 Å, rel. 14
- 2θ 35.67, 2.517 Å, rel. 25
- 2θ 37.66, 2.388 Å, rel. 38
- 2θ 39.73, 2.269 Å, rel. 42
- 2θ 40.51, 2.227 Å, rel. 52
- 2θ 49.31, 1.848 Å, rel. 17
- 2θ 52.84, 1.733 Å, rel. 16
- 2θ 63.67, 1.462 Å, rel. 16
- 2θ 65.10, 1.433 Å, rel. 19

Structure:
```
data_LaCdHRhAu
_cell_length_a 4.777
_cell_length_b 5.477
_cell_length_c 5.477
_cell_angle_alpha 39.44
_cell_angle_beta 90.00
_cell_angle_gamma 90.00
_space_group_name_H-M_alt 'P 1'
_space_group_IT_number 1
loop_
_space_group_symop_operation_xyz
'x,y,z'
loop_
_atom_site_label
_atom_site_fract_x
_atom_site_fract_y
_atom_site_fract_z
La1 0.000 0.000 0.000
Cd1 0.500 0.306 0.306
H1 0.000 0.245 0.245
Rh1 0.000 0.743 0.743
Au1 0.500 0.585 0.585
```

# 5
This entry pairs a crystal structure of LaCdHRhAu with its simulated X-ray diffraction stick pattern. Radiation: Cu Kα. Structure: a PBE-relaxed structure.

The 10 most intense peaks (2θ = 10–90°), in order of rising 2θ:
- 2θ 34.24, 2.619 Å, rel. 28
- 2θ 35.63, 2.520 Å, rel. 100
- 2θ 37.26, 2.413 Å, rel. 22
- 2θ 51.06, 1.789 Å, rel. 9
- 2θ 51.49, 1.775 Å, rel. 17
- 2θ 62.21, 1.492 Å, rel. 19
- 2θ 62.92, 1.477 Å, rel. 9
- 2θ 64.89, 1.437 Å, rel. 9
- 2θ 66.14, 1.413 Å, rel. 16
- 2θ 75.45, 1.260 Å, rel. 11

Structure:
```
data_LaCdHRhAu
_cell_length_a 3.578
_cell_length_b 4.826
_cell_length_c 5.238
_cell_angle_alpha 90.00
_cell_angle_beta 90.00
_cell_angle_gamma 90.00
_space_group_name_H-M_alt 'P 1'
_space_group_IT_number 1
loop_
_space_group_symop_operation_xyz
'x,y,z'
loop_
_atom_site_label
_atom_site_fract_x
_atom_site_fract_y
_atom_site_fract_z
La1 0.000 0.000 0.000
Cd1 0.000 0.500 0.504
H1 0.000 0.500 0.024
Rh1 0.500 0.500 0.982
Au1 0.500 0.000 0.500
```

# 6
This entry pairs a crystal structure of Cd3H2Pd6Au with its simulated X-ray diffraction stick pattern. Radiation: Cu Kα. Structure: a PBE-relaxed structure.

The 10 most intense peaks (2θ = 10–90°), in order of rising 2θ:
- 2θ 10.09, 8.764 Å, rel. 53
- 2θ 18.73, 4.738 Å, rel. 56
- 2θ 20.26, 4.382 Å, rel. 26
- 2θ 27.73, 3.217 Å, rel. 45
- 2θ 36.12, 2.487 Å, rel. 31
- 2θ 38.81, 2.321 Å, rel. 53
- 2θ 39.40, 2.287 Å, rel. 100
- 2θ 43.42, 2.084 Å, rel. 72
- 2θ 45.62, 1.989 Å, rel. 36
- 2θ 68.61, 1.368 Å, rel. 27

Structure:
```
data_Cd3H2Pd6Au
_cell_length_a 5.471
_cell_length_b 5.471
_cell_length_c 8.764
_cell_angle_alpha 90.00
_cell_angle_beta 90.00
_cell_angle_gamma 120.00
_space_group_name_H-M_alt 'P 1'
_space_group_IT_number 1
loop_
_space_group_symop_operation_xyz
'x,y,z'
loop_
_atom_site_label
_atom_site_fract_x
_atom_site_fract_y
_atom_site_fract_z
Cd1 0.000 0.000 0.000
Cd2 0.333 0.667 0.634
Cd3 0.667 0.333 0.366
H1 0.333 0.667 0.147
H2 0.667 0.333 0.853
Pd1 0.169 0.338 0.255
Pd2 0.169 0.831 0.255
Pd3 0.338 0.169 0.745
Pd4 0.662 0.831 0.255
Pd5 0.831 0.169 0.745
Pd6 0.831 0.662 0.745
Au1 0.000 0.000 0.500
```

# 7
This entry pairs a crystal structure of Cd2HPt4Au2 with its simulated X-ray diffraction stick pattern. Radiation: Cu Kα. Structure: a PBE-relaxed structure.

The 10 most intense peaks (2θ = 10–90°), in order of rising 2θ:
- 2θ 21.73, 4.090 Å, rel. 3
- 2θ 30.55, 2.926 Å, rel. 3
- 2θ 37.81, 2.380 Å, rel. 100
- 2θ 43.22, 2.093 Å, rel. 17
- 2θ 44.29, 2.045 Å, rel. 33
- 2θ 63.60, 1.463 Å, rel. 21
- 2θ 64.43, 1.446 Å, rel. 11
- 2θ 75.66, 1.257 Å, rel. 12
- 2θ 77.19, 1.236 Å, rel. 25
- 2θ 80.77, 1.190 Å, rel. 11

Structure:
```
data_Cd2HPt4Au2
_cell_length_a 5.853
_cell_length_b 5.853
_cell_length_c 5.853
_cell_angle_alpha 120.77
_cell_angle_beta 120.77
_cell_angle_gamma 88.67
_space_group_name_H-M_alt 'P 1'
_space_group_IT_number 1
loop_
_space_group_symop_operation_xyz
'x,y,z'
loop_
_atom_site_label
_atom_site_fract_x
_atom_site_fract_y
_atom_site_fract_z
Cd1 0.229 0.229 0.000
Cd2 0.771 0.771 0.000
H1 0.500 0.500 0.000
Pt1 0.256 0.256 0.512
Pt2 0.256 0.744 0.000
Pt3 0.744 0.256 0.000
Pt4 0.744 0.744 0.488
Au1 0.250 0.750 0.500
Au2 0.750 0.250 0.500
```

# 8
This entry pairs a crystal structure of Cd2HgAu with its simulated X-ray diffraction stick pattern. Radiation: Cu Kα. Structure: a PBE-relaxed structure.

The 10 most intense peaks (2θ = 10–90°), in order of rising 2θ:
- 2θ 24.43, 3.643 Å, rel. 37
- 2θ 31.51, 2.839 Å, rel. 59
- 2θ 35.20, 2.550 Å, rel. 50
- 2θ 35.62, 2.521 Å, rel. 100
- 2θ 36.88, 2.437 Å, rel. 63
- 2θ 37.89, 2.375 Å, rel. 85
- 2θ 38.58, 2.334 Å, rel. 79
- 2θ 39.22, 2.297 Å, rel. 41
- 2θ 50.07, 1.822 Å, rel. 34
- 2θ 69.94, 1.345 Å, rel. 36

Structure:
```
data_Cd2HgAu
_cell_length_a 3.266
_cell_length_b 4.749
_cell_length_c 11.441
_cell_angle_alpha 90.00
_cell_angle_beta 96.94
_cell_angle_gamma 90.00
_space_group_name_H-M_alt 'P 1'
_space_group_IT_number 1
loop_
_space_group_symop_operation_xyz
'x,y,z'
loop_
_atom_site_label
_atom_site_fract_x
_atom_site_fract_y
_atom_site_fract_z
Cd1 0.050 0.250 0.120
Cd2 0.129 0.750 0.315
Cd3 0.871 0.250 0.685
Cd4 0.950 0.750 0.880
Hg1 0.337 0.750 0.589
Hg2 0.663 0.250 0.411
Au1 0.456 0.250 0.898
Au2 0.544 0.750 0.102
```